ScCuAgCl6: calculated X-ray powder pattern (λ = 1.5418 Å (Cu Kα)), based on a structure optimized by DFT (PBE).
Intensities are scaled so that the largest is 100.

Structure:
```
ScCuAgCl6
1.0
6.3440 0.0000 0.0000
-3.1720 5.4941 0.0000
0.0000 0.0000 12.0535
Sc Cu Ag Cl
2 2 2 12
Direct
0.3333 0.6667 0.2500
0.6667 0.3333 0.7500
0.3333 0.6667 0.7500
0.6667 0.3333 0.2500
0.0000 0.0000 0.0000
0.0000 0.0000 0.5000
0.0054 0.3574 0.6335
0.0054 0.6481 0.8665
0.3519 0.3574 0.8665
0.3519 0.9946 0.6335
0.3574 0.0054 0.1335
0.3574 0.3519 0.3665
0.6426 0.6481 0.6335
0.6426 0.9946 0.8665
0.6481 0.0054 0.3665
0.6481 0.6426 0.1335
0.9946 0.3519 0.1335
0.9946 0.6426 0.3665
```

Largest 6 diffraction maxima, in order of falling intensity, 2θ = 10–90°:
Position (°2θ)	d_spacing	I/Imax
21.89	4.060	100
41.33	2.185	67
31.88	2.807	44
49.79	1.831	31
46.24	1.963	27
35.93	2.500	26

DyY5Er5: calculated X-ray powder pattern (λ = 1.5418 Å (Cu Kα)), based on a structure optimized by DFT (PBE).
Intensities are scaled so that the largest is 100.

Structure:
```
DyY5Er5
1.0
6.8310 0.0000 0.0000
2.2922 6.4352 0.0000
2.1731 1.5439 8.0976
Dy Y Er
1 5 5
Direct
0.0000 0.0000 0.0000
0.0000 0.5000 0.0000
0.1470 0.6447 0.3628
0.3167 0.8112 0.6361
0.6833 0.1888 0.3639
0.8530 0.3553 0.6372
0.2264 0.1480 0.2757
0.3519 0.2702 0.7267
0.5000 0.5000 0.0000
0.6481 0.7298 0.2733
0.7736 0.8520 0.7243
```

Largest 6 diffraction maxima, in order of falling intensity, 2θ = 10–90°:
Position (°2θ)	d_spacing	I/Imax
32.52	2.753	100
32.26	2.775	97
32.09	2.789	80
33.19	2.699	31
31.72	2.821	27
50.71	1.800	20

CdBi2TeO8: calculated X-ray powder pattern (λ = 1.5418 Å (Cu Kα)), based on a structure optimized by DFT (PBE).
Intensities are scaled so that the largest is 100.

Structure:
```
CdBi2TeO8
1.0
3.5422 -3.5465 0.0000
3.5422 3.5465 0.0000
0.0000 0.0000 6.9736
Cd Bi Te O
1 2 1 8
Direct
0.0000 0.0000 0.0000
0.5000 0.5000 0.2498
0.5000 0.5000 0.7502
0.0000 0.0000 0.5000
0.1832 0.8168 0.2890
0.1832 0.8168 0.7110
0.2817 0.2817 0.5000
0.3129 0.3129 0.0000
0.6871 0.6871 0.0000
0.7183 0.7183 0.5000
0.8168 0.1832 0.2890
0.8168 0.1832 0.7110
```

Largest 6 diffraction maxima, in order of falling intensity, 2θ = 10–90°:
Position (°2θ)	d_spacing	I/Imax
25.13	3.544	100
31.25	2.862	95
48.26	1.886	72
35.83	2.506	27
61.55	1.507	20
59.05	1.564	19

Tb2Y4ThSc: calculated X-ray powder pattern (λ = 1.5418 Å (Cu Kα)), based on a structure optimized by DFT (PBE).
Intensities are scaled so that the largest is 100.

Structure:
```
Tb2Y4ThSc
1.0
5.8302 0.0000 0.0000
0.0000 5.8302 0.0000
0.0000 0.0000 7.4033
Tb Y Th Sc
2 4 1 1
Direct
0.0000 0.0000 0.0000
0.5000 0.5000 0.5000
0.0000 0.5000 0.2435
0.0000 0.5000 0.7565
0.5000 0.0000 0.2435
0.5000 0.0000 0.7565
0.0000 0.0000 0.5000
0.5000 0.5000 0.0000
```

Largest 6 diffraction maxima, in order of falling intensity, 2θ = 10–90°:
Position (°2θ)	d_spacing	I/Imax
32.51	2.754	100
30.67	2.915	59
55.70	1.650	43
43.92	2.061	22
59.13	1.562	18
89.77	1.092	12